The following is a theoretical X-ray diffraction stick pattern of TlRePb. It was derived from DFT lattice parameters and positions (GGA-PBE), using Cu Kα (λ = 1.5418 Å).

Structural model:
abc: 3.1352 3.1352 8.4141
angles: 90.00 90.00 120.00
Space group P3m1 (No. 156)
Unique sites:
Tl: 0.0000 0.0000 0.0000 [1 per cell]
Re: 0.3333 0.6667 0.7121 [1 per cell]
Pb: 0.6667 0.3333 0.4369 [1 per cell]

Top 10 peaks for 2θ from 10° to 80°, most intense first:
d/Å	I_rel	h k l
2.584	100	1 0 1
2.281	65	0 1 2
1.951	24	0 1 3
1.568	23	1 1 0
2.805	21	0 0 3
8.414	18	0 0 1
1.430	16	1 0 5
1.368	14	1 1 3
1.257	14	1 1 4
1.340	13	0 2 1